1.
Structure and computed PXRD pattern of Li4Mn5CuO12 (a crystal structure in the Materials Project, relaxed with GGA+U; copper Kα).

The 8 most intense peaks (10° ≤ 2θ ≤ 80°), low angle first:
| 2θ (°) | I/Imax |
| --- | --- |
| 17.22 | 100 |
| 35.79 | 15 |
| 36.04 | 16 |
| 43.61 | 17 |
| 44.24 | 15 |
| 49.66 | 8 |
| 56.82 | 9 |
| 57.69 | 8 |

Structural model:
a = 5.156 Å, b = 5.156 Å, c = 10.303 Å
α = 90.80°, β = 90.80°, γ = 120.82°
Sites, in units of the cell vectors:
Li: 0.159 0.664 0.750
Li: 0.336 0.841 0.250
Li: 0.664 0.159 0.750
Li: 0.841 0.336 0.250
Mn: 0.164 0.836 0.500
Mn: 0.336 0.664 0.000
Mn: 0.500 0.500 0.500
Mn: 0.664 0.336 0.000
Mn: 0.836 0.164 0.500
Cu: 0.000 0.000 0.000
O: 0.006 0.633 0.107
O: 0.155 0.518 0.393
O: 0.176 0.176 0.593
O: 0.340 0.340 0.092
O: 0.367 0.994 0.893
O: 0.482 0.845 0.607
O: 0.518 0.155 0.393
O: 0.633 0.006 0.107
O: 0.660 0.660 0.908
O: 0.824 0.824 0.407
O: 0.845 0.482 0.607
O: 0.994 0.367 0.893

---

2.
Structure and computed PXRD pattern of Li2Mn2CuO6 (a crystal structure in the Materials Project, relaxed with GGA+U; copper Kα).

The 8 most intense peaks (10° ≤ 2θ ≤ 80°), low angle first:
| 2θ (°) | I/Imax |
| --- | --- |
| 17.19 | 100 |
| 36.23 | 32 |
| 39.36 | 7 |
| 39.96 | 14 |
| 44.17 | 31 |
| 50.77 | 14 |
| 57.41 | 17 |
| 64.59 | 14 |

Structural model:
a = 5.110 Å, b = 5.110 Å, c = 10.316 Å
α = 90.00°, β = 90.00°, γ = 58.82°
Sites, in units of the cell vectors:
Li: 0.173 0.327 0.250
Li: 0.327 0.173 0.750
Li: 0.673 0.827 0.250
Li: 0.827 0.673 0.750
Mn: 0.165 0.165 0.000
Mn: 0.335 0.335 0.500
Mn: 0.665 0.665 0.500
Mn: 0.835 0.835 0.000
Cu: 0.000 0.000 0.500
Cu: 0.500 0.500 0.000
O: 0.001 0.370 0.607
O: 0.130 0.499 0.893
O: 0.163 0.837 0.094
O: 0.337 0.663 0.594
O: 0.370 0.001 0.393
O: 0.499 0.130 0.107
O: 0.501 0.870 0.893
O: 0.630 0.999 0.607
O: 0.663 0.337 0.406
O: 0.837 0.163 0.906
O: 0.870 0.501 0.107
O: 0.999 0.630 0.393

---

3.
Structure and computed PXRD pattern of Li2Mn5Cu2O12 (a crystal structure in the Materials Project, relaxed with GGA+U; copper Kα).

The 8 most intense peaks (10° ≤ 2θ ≤ 80°), low angle first:
| 2θ (°) | I/Imax |
| --- | --- |
| 18.42 | 72 |
| 20.26 | 36 |
| 22.61 | 54 |
| 36.93 | 27 |
| 41.01 | 56 |
| 43.69 | 100 |
| 60.69 | 29 |
| 62.24 | 25 |

Structural model:
a = 5.373 Å, b = 8.765 Å, c = 9.730 Å
α = 90.00°, β = 98.11°, γ = 90.00°
Sites, in units of the cell vectors:
Li: 0.029 0.000 0.266
Li: 0.247 0.826 0.508
Li: 0.753 0.326 0.492
Li: 0.971 0.500 0.734
Mn: 0.008 0.652 0.257
Mn: 0.242 0.319 0.000
Mn: 0.254 0.981 0.998
Mn: 0.256 0.491 0.500
Mn: 0.497 0.662 0.744
Mn: 0.503 0.162 0.256
Mn: 0.744 0.991 0.500
Mn: 0.746 0.481 0.002
Mn: 0.758 0.819 0.000
Mn: 0.992 0.152 0.743
Cu: 0.252 0.166 0.507
Cu: 0.258 0.652 0.009
Cu: 0.742 0.152 0.991
Cu: 0.748 0.666 0.493
O: 0.091 0.011 0.599
O: 0.091 0.486 0.100
O: 0.096 0.815 0.112
O: 0.125 0.323 0.609
O: 0.177 0.639 0.635
O: 0.180 0.148 0.134
O: 0.312 0.155 0.874
O: 0.321 0.644 0.372
O: 0.378 0.318 0.401
O: 0.390 0.016 0.397
O: 0.400 0.491 0.901
O: 0.415 0.807 0.898
O: 0.585 0.307 0.102
O: 0.600 0.991 0.099
O: 0.610 0.516 0.603
O: 0.622 0.818 0.599
O: 0.679 0.144 0.628
O: 0.688 0.655 0.126
O: 0.820 0.648 0.866
O: 0.823 0.139 0.365
O: 0.875 0.823 0.391
O: 0.904 0.315 0.888
O: 0.909 0.511 0.401
O: 0.909 0.986 0.900

---

4.
Structure and computed PXRD pattern of Li2MnCuO4 (a crystal structure in the Materials Project, relaxed with GGA+U; copper Kα).

The 8 most intense peaks (10° ≤ 2θ ≤ 80°), low angle first:
| 2θ (°) | I/Imax |
| --- | --- |
| 18.11 | 73 |
| 18.27 | 90 |
| 31.55 | 43 |
| 36.71 | 100 |
| 37.03 | 28 |
| 45.64 | 76 |
| 59.93 | 30 |
| 66.52 | 26 |

Structural model:
a = 5.623 Å, b = 5.623 Å, c = 6.264 Å
α = 116.15°, β = 116.15°, γ = 90.02°
Sites, in units of the cell vectors:
Li: 0.000 0.000 0.000
Li: 0.000 0.000 0.500
Li: 0.000 0.500 0.000
Li: 0.500 0.000 0.500
Mn: 0.500 0.500 0.000
Mn: 0.500 0.500 0.500
Cu: 0.000 0.500 0.500
Cu: 0.500 0.000 0.000
O: 0.214 0.698 0.445
O: 0.251 0.281 0.522
O: 0.281 0.251 0.022
O: 0.302 0.786 0.055
O: 0.698 0.214 0.945
O: 0.719 0.749 0.978
O: 0.749 0.719 0.478
O: 0.786 0.302 0.555

---

5.
Structure and computed PXRD pattern of Li3Mn4CuO8 (a crystal structure in the Materials Project, relaxed with GGA+U; copper Kα).

The 8 most intense peaks (10° ≤ 2θ ≤ 80°), low angle first:
| 2θ (°) | I/Imax |
| --- | --- |
| 17.94 | 100 |
| 34.34 | 38 |
| 36.37 | 39 |
| 41.49 | 99 |
| 43.80 | 42 |
| 60.12 | 28 |
| 61.81 | 25 |
| 62.02 | 25 |

Structural model:
a = 5.993 Å, b = 5.993 Å, c = 6.157 Å
α = 120.71°, β = 120.71°, γ = 61.78°
Sites, in units of the cell vectors:
Li: 0.000 0.000 0.000
Li: 0.000 0.500 0.000
Li: 0.500 0.000 0.000
Mn: 0.000 0.000 0.500
Mn: 0.000 0.500 0.500
Mn: 0.500 0.000 0.500
Mn: 0.500 0.500 0.000
Cu: 0.500 0.500 0.500
O: 0.230 0.744 0.742
O: 0.254 0.254 0.773
O: 0.256 0.770 0.258
O: 0.261 0.261 0.304
O: 0.739 0.739 0.696
O: 0.744 0.230 0.742
O: 0.746 0.746 0.227
O: 0.770 0.256 0.258

---

6.
Structure and computed PXRD pattern of Li3Mn2CuO6 (a crystal structure in the Materials Project, relaxed with GGA+U; copper Kα).

The 8 most intense peaks (10° ≤ 2θ ≤ 80°), low angle first:
| 2θ (°) | I/Imax |
| --- | --- |
| 18.13 | 100 |
| 31.72 | 27 |
| 36.68 | 28 |
| 37.27 | 40 |
| 45.13 | 45 |
| 45.76 | 13 |
| 59.60 | 16 |
| 60.23 | 16 |

Structural model:
a = 7.494 Å, b = 7.494 Å, c = 5.725 Å
α = 100.23°, β = 100.23°, γ = 21.69°
Sites, in units of the cell vectors:
Li: 0.000 0.000 0.000
Li: 0.323 0.323 0.656
Li: 0.677 0.677 0.344
Mn: 0.333 0.333 0.167
Mn: 0.667 0.667 0.833
Cu: 0.000 0.000 0.500
O: 0.161 0.161 0.063
O: 0.179 0.179 0.610
O: 0.489 0.489 0.276
O: 0.511 0.511 0.724
O: 0.821 0.821 0.390
O: 0.839 0.839 0.937